No. 1
Theoretical PXRD pattern of Ac3PrAs4 for Cu Ka, from a structure optimized by DFT (GGA-PBE).

Most intense lines, 2θ = 10–90°, by angle:
| 2θ/deg | I_rel |
| --- | --- |
| 23.21 | 2 |
| 24.26 | 37 |
| 28.09 | 100 |
| 40.14 | 77 |
| 47.46 | 20 |
| 49.71 | 28 |
| 58.06 | 13 |
| 63.86 | 8 |
| 65.72 | 37 |
| 72.94 | 27 |
| 78.16 | 6 |
| 86.68 | 9 |

a = 7.780 Å, b = 7.780 Å, c = 4.494 Å
α = 90.00°, β = 90.00°, γ = 109.41°
Positions (direct):
Ac1 0.000 0.000 0.000
Ac2 0.000 0.500 0.500
Ac3 0.500 0.000 0.500
Pr1 0.500 0.500 0.000
As1 0.254 0.746 0.000
As2 0.258 0.258 0.500
As3 0.742 0.742 0.500
As4 0.746 0.254 0.000

***

No. 2
Theoretical PXRD pattern of Ce2Y2Tl5 for Cu Ka, from a structure optimized by DFT (GGA-PBE).

Most intense lines, 2θ = 10–90°, by angle:
| 2θ/deg | I_rel |
| --- | --- |
| 27.48 | 21 |
| 28.08 | 23 |
| 29.58 | 65 |
| 32.26 | 19 |
| 32.99 | 60 |
| 33.83 | 58 |
| 34.98 | 100 |
| 37.13 | 16 |
| 46.17 | 18 |
| 53.04 | 15 |
| 53.58 | 30 |
| 59.87 | 16 |

a = 10.436 Å, b = 10.436 Å, c = 10.436 Å
α = 65.34°, β = 127.64°, γ = 143.76°
Positions (direct):
Ce1 0.077 0.065 0.142
Ce2 0.077 0.435 0.512
Ce3 0.923 0.565 0.488
Ce4 0.923 0.935 0.858
Y1 0.327 0.750 0.077
Y2 0.500 0.000 0.500
Y3 0.500 0.500 0.000
Y4 0.673 0.250 0.923
Tl1 0.000 0.339 0.840
Tl2 0.000 0.661 0.161
Tl3 0.016 0.242 0.274
Tl4 0.359 0.158 0.529
Tl5 0.359 0.329 0.700
Tl6 0.500 0.161 0.160
Tl7 0.500 0.839 0.839
Tl8 0.629 0.658 0.300
Tl9 0.629 0.829 0.471
Tl10 0.967 0.742 0.726

***

No. 3
Theoretical PXRD pattern of PrNd15Dy4 for Cu Ka, from a structure optimized by DFT (GGA-PBE).

Most intense lines, 2θ = 10–90°, by angle:
| 2θ/deg | I_rel |
| --- | --- |
| 29.94 | 100 |
| 34.67 | 34 |
| 34.79 | 17 |
| 49.90 | 36 |
| 59.23 | 29 |
| 59.40 | 14 |
| 62.21 | 12 |
| 81.00 | 6 |
| 81.14 | 12 |
| 83.54 | 6 |
| 83.62 | 5 |
| 83.83 | 5 |

a = 5.175 Å, b = 5.175 Å, c = 25.786 Å
α = 90.00°, β = 90.00°, γ = 90.00°
Positions (direct):
Pr1 0.000 0.000 0.000
Nd1 0.000 0.500 0.102
Nd2 0.000 0.500 0.301
Nd3 0.000 0.500 0.500
Nd4 0.000 0.500 0.699
Nd5 0.000 0.500 0.898
Nd6 0.500 0.000 0.102
Nd7 0.500 0.000 0.301
Nd8 0.500 0.000 0.500
Nd9 0.500 0.000 0.699
Nd10 0.500 0.000 0.898
Nd11 0.500 0.500 0.000
Nd12 0.500 0.500 0.202
Nd13 0.500 0.500 0.400
Nd14 0.500 0.500 0.600
Nd15 0.500 0.500 0.798
Dy1 0.000 0.000 0.202
Dy2 0.000 0.000 0.401
Dy3 0.000 0.000 0.599
Dy4 0.000 0.000 0.798

***

No. 4
Theoretical PXRD pattern of Pm6Nd4Y for Cu Ka, from a structure optimized by DFT (GGA-PBE).

Most intense lines, 2θ = 10–90°, by angle:
| 2θ/deg | I_rel |
| --- | --- |
| 27.89 | 52 |
| 28.38 | 57 |
| 29.10 | 26 |
| 30.03 | 100 |
| 31.15 | 22 |
| 33.72 | 62 |
| 36.52 | 33 |
| 37.66 | 26 |
| 39.68 | 35 |
| 42.31 | 21 |
| 49.65 | 20 |
| 56.41 | 29 |

a = 9.849 Å, b = 9.849 Å, c = 9.849 Å
α = 139.88°, β = 139.88°, γ = 58.03°
Positions (direct):
Pm1 0.000 0.500 0.500
Pm2 0.200 0.200 0.649
Pm3 0.449 0.800 0.000
Pm4 0.500 0.000 0.500
Pm5 0.551 0.551 0.351
Pm6 0.800 0.449 0.000
Nd1 0.012 0.633 0.000
Nd2 0.367 0.367 0.378
Nd3 0.633 0.012 0.000
Nd4 0.988 0.988 0.622
Y1 0.000 0.000 0.000

***

Please write out number 2 again, unchanged.
Theoretical PXRD pattern of Ce2Y2Tl5 for Cu Ka, from a structure optimized by DFT (GGA-PBE).

Most intense lines, 2θ = 10–90°, by angle:
| 2θ/deg | I_rel |
| --- | --- |
| 27.48 | 21 |
| 28.08 | 23 |
| 29.58 | 65 |
| 32.26 | 19 |
| 32.99 | 60 |
| 33.83 | 58 |
| 34.98 | 100 |
| 37.13 | 16 |
| 46.17 | 18 |
| 53.04 | 15 |
| 53.58 | 30 |
| 59.87 | 16 |

a = 10.436 Å, b = 10.436 Å, c = 10.436 Å
α = 65.34°, β = 127.64°, γ = 143.76°
Positions (direct):
Ce1 0.077 0.065 0.142
Ce2 0.077 0.435 0.512
Ce3 0.923 0.565 0.488
Ce4 0.923 0.935 0.858
Y1 0.327 0.750 0.077
Y2 0.500 0.000 0.500
Y3 0.500 0.500 0.000
Y4 0.673 0.250 0.923
Tl1 0.000 0.339 0.840
Tl2 0.000 0.661 0.161
Tl3 0.016 0.242 0.274
Tl4 0.359 0.158 0.529
Tl5 0.359 0.329 0.700
Tl6 0.500 0.161 0.160
Tl7 0.500 0.839 0.839
Tl8 0.629 0.658 0.300
Tl9 0.629 0.829 0.471
Tl10 0.967 0.742 0.726